Calculated powder diffraction line list
Compound: AlGaCuS4
Radiation: Cu Kα (λ = 1.5418 Å)
Structure: a cell relaxed with GGA-PBE

Structural model:
Cell lengths 7.054, 7.054, 10.164 Å; angles 90.00, 90.00, 90.00 degrees
Atoms (fractional coordinates):
1 Al 0.000 0.261 0.000
2 Al 0.000 0.739 0.500
3 Al 0.261 0.000 0.750
4 Al 0.739 0.000 0.250
5 Ga 0.248 0.248 0.375
6 Ga 0.248 0.752 0.125
7 Ga 0.752 0.248 0.625
8 Ga 0.752 0.752 0.875
9 Cu 0.245 0.500 0.750
10 Cu 0.500 0.245 0.000
11 Cu 0.500 0.755 0.500
12 Cu 0.755 0.500 0.250
13 S 0.020 0.246 0.761
14 S 0.020 0.754 0.739
15 S 0.246 0.020 0.989
16 S 0.246 0.980 0.511
17 S 0.251 0.487 0.992
18 S 0.251 0.513 0.508
19 S 0.487 0.251 0.758
20 S 0.487 0.749 0.742
21 S 0.513 0.251 0.242
22 S 0.513 0.749 0.258
23 S 0.749 0.487 0.008
24 S 0.749 0.513 0.492
25 S 0.754 0.020 0.011
26 S 0.754 0.980 0.489
27 S 0.980 0.246 0.239
28 S 0.980 0.754 0.261

Top 6 peaks for 2θ = 10–80°, in order of rising 2θ:
- 2θ 25.01, 3.560 Å, I 46
- 2θ 29.24, 3.054 Å, I 49
- 2θ 29.65, 3.013 Å, I 100
- 2θ 47.31, 1.921 Å, I 42
- 2θ 51.33, 1.780 Å, I 91
- 2θ 51.84, 1.764 Å, I 44